Calculated powder X-ray diffraction pattern of Sr10P6O25 for copper Kα, from a DFT-relaxed cell (GGA-PBE, the Materials Project).
Neutral-atom scattering factors, no anomalous dispersion.

Crystal structure
```
data_Sr10P6O25
_cell_length_a 9.9092
_cell_length_b 9.9092
_cell_length_c 7.3428
_cell_angle_alpha 90.00
_cell_angle_beta 90.00
_cell_angle_gamma 120.00
_space_group_name_H-M_alt 'P 3'
_space_group_IT_number 143
loop_
_space_group_symop_operation_xyz
'x,y,z'
'-y,x-y,z'
'-x+y,-x,z'
loop_
_atom_site_label
_atom_site_fract_x
_atom_site_fract_y
_atom_site_fract_z
Sr1 0.0000 0.0000 0.0000
Sr2 0.0000 0.0000 0.4877
Sr3 0.3333 0.6667 0.0071
Sr4 0.3333 0.6667 0.4964
Sr5 0.3871 0.3217 0.7463
Sr6 0.4395 0.0975 0.2533
P1 0.0425 0.7401 0.2469
P2 0.0556 0.3647 0.7505
O1 0.0046 0.4188 0.5788
O2 0.0790 0.2168 0.2376
O3 0.1507 0.6675 0.2507
O4 0.1910 0.0054 0.7476
O5 0.2171 0.7612 0.7562
O6 0.3034 0.2455 0.4235
O7 0.3195 0.2536 0.0769
O8 0.4193 0.0064 0.9177
O9 0.6667 0.3333 0.2914
```

Most intense lines, 10 to 90 degrees two-theta, sorted by position:
(2 0 0), 4.291 Å, 2θ = 20.70°, I = 24; (0 1 2), 3.375 Å, 2θ = 26.40°, I = 26; (1 2 0), 3.244 Å, 2θ = 27.50°, I = 37; (1 2 1), 2.967 Å, 2θ = 30.12°, I = 100; (1 1 2), 2.950 Å, 2θ = 30.30°, I = 86; (3 0 0), 2.861 Å, 2θ = 31.27°, I = 63; (4 -2 2), 2.054 Å, 2θ = 44.10°, I = 44; (3 1 2), 1.997 Å, 2θ = 45.41°, I = 22; (1 2 3), 1.954 Å, 2θ = 46.48°, I = 35; (0 4 2), 1.852 Å, 2θ = 49.19°, I = 24



Calculated powder X-ray diffraction pattern of KLaS2O8 for copper Kα, from a DFT-relaxed cell (GGA-PBE, the Materials Project).
Neutral-atom scattering factors, no anomalous dispersion.

Crystal structure
```
data_KLaS2O8
_cell_length_a 5.5256
_cell_length_b 7.1242
_cell_length_c 8.6553
_cell_angle_alpha 85.95
_cell_angle_beta 88.65
_cell_angle_gamma 88.40
_space_group_name_H-M_alt 'P -1'
_space_group_IT_number 2
loop_
_space_group_symop_operation_xyz
'x,y,z'
'-x,-y,-z'
loop_
_atom_site_label
_atom_site_fract_x
_atom_site_fract_y
_atom_site_fract_z
K1 0.2474 0.1545 0.3134
La1 0.1869 0.3184 0.7957
S1 0.2577 0.6743 0.4301
S2 0.2785 0.8008 0.9532
O1 0.0385 0.8050 0.4221
O2 0.1266 0.6406 0.9119
O3 0.1645 0.8745 0.0951
O4 0.2268 0.5415 0.3059
O5 0.2683 0.5777 0.5859
O6 0.2869 0.9481 0.8242
O7 0.4696 0.2718 0.0147
O8 0.4808 0.7851 0.3971
```

Most intense lines, 10 to 90 degrees two-theta, sorted by position:
(0 1 1), 5.684 Å, 2θ = 15.59°, I = 72; (0 1 -1), 5.306 Å, 2θ = 16.71°, I = 30; (0 2 0), 3.552 Å, 2θ = 25.07°, I = 43; (1 0 -2), 3.367 Å, 2θ = 26.48°, I = 100; (1 1 2), 3.185 Å, 2θ = 28.01°, I = 55; (1 -1 2), 3.010 Å, 2θ = 29.68°, I = 40; (1 1 -2), 2.997 Å, 2θ = 29.81°, I = 33; (1 2 -1), 2.792 Å, 2θ = 32.05°, I = 33; (2 0 0), 2.759 Å, 2θ = 32.45°, I = 51; (0 1 4), 2.107 Å, 2θ = 42.92°, I = 30



Calculated powder X-ray diffraction pattern of AgH3O2 for copper Kα, from a DFT-relaxed cell (GGA-PBE, the Materials Project).
Neutral-atom scattering factors, no anomalous dispersion.

Crystal structure
```
data_AgH3O2
_cell_length_a 6.1402
_cell_length_b 12.1998
_cell_length_c 6.3270
_cell_angle_alpha 90.00
_cell_angle_beta 90.00
_cell_angle_gamma 90.00
_space_group_name_H-M_alt 'P b c a'
_space_group_IT_number 61
loop_
_space_group_symop_operation_xyz
'x,y,z'
'-x,-y,-z'
'-x+1/2,-y,z+1/2'
'x+1/2,y,-z+1/2'
'x+1/2,-y+1/2,-z'
'-x+1/2,y+1/2,z'
'-x,y+1/2,-z+1/2'
'x,-y+1/2,z+1/2'
loop_
_atom_site_label
_atom_site_fract_x
_atom_site_fract_y
_atom_site_fract_z
Ag1 0.1942 0.0799 0.1595
H1 0.0729 0.6347 0.7238
H2 0.1017 0.1342 0.5762
H3 0.1220 0.7131 0.4410
O1 0.0563 0.6406 0.8828
O2 0.1429 0.6343 0.4739
```

Most intense lines, 10 to 90 degrees two-theta, sorted by position:
(0 2 0), 6.100 Å, 2θ = 14.52°, I = 62; (0 2 1), 4.391 Å, 2θ = 20.22°, I = 100; (1 2 1), 3.572 Å, 2θ = 24.93°, I = 36; (0 4 0), 3.050 Å, 2θ = 29.28°, I = 29; (1 0 2), 2.812 Å, 2θ = 31.83°, I = 56; (0 4 1), 2.745 Å, 2θ = 32.62°, I = 81; (2 1 1), 2.694 Å, 2θ = 33.26°, I = 39; (1 2 2), 2.554 Å, 2θ = 35.14°, I = 30; (2 2 1), 2.516 Å, 2θ = 35.68°, I = 51; (1 2 3), 1.896 Å, 2θ = 47.99°, I = 43



Calculated powder X-ray diffraction pattern of VCrCuS4 for copper Kα, from a DFT-relaxed cell (GGA-PBE, the Materials Project).
Neutral-atom scattering factors, no anomalous dispersion.

Crystal structure
```
data_VCrCuS4
_cell_length_a 6.8533
_cell_length_b 7.0802
_cell_length_c 9.9152
_cell_angle_alpha 90.00
_cell_angle_beta 90.00
_cell_angle_gamma 90.00
_space_group_name_H-M_alt 'I m m a'
_space_group_IT_number 74
_space_group_name_Hall '-I 2b 2'
loop_
_atom_site_label
_atom_site_fract_x
_atom_site_fract_y
_atom_site_fract_z
V1 0.2500 0.2500 0.2500
Cr1 0.0000 0.0000 0.0000
Cu1 0.0000 0.2500 0.6270
S1 0.0000 0.0125 0.2424
S2 0.2344 0.2500 0.0094
```

Most intense lines, 10 to 90 degrees two-theta, sorted by position:
(1 1 2), 3.494 Å, 2θ = 25.50°, I = 45; (1 2 1), 2.997 Å, 2θ = 29.81°, I = 85; (1 0 3), 2.977 Å, 2θ = 30.02°, I = 31; (2 1 1), 2.945 Å, 2θ = 30.35°, I = 57; (0 0 4), 2.479 Å, 2θ = 36.24°, I = 24; (2 2 0), 2.462 Å, 2θ = 36.49°, I = 47; (0 1 5), 1.908 Å, 2θ = 47.66°, I = 34; (0 4 0), 1.770 Å, 2θ = 51.64°, I = 27; (2 2 4), 1.747 Å, 2θ = 52.38°, I = 100; (4 0 0), 1.713 Å, 2θ = 53.48°, I = 23



Calculated powder X-ray diffraction pattern of Ca2Ti5Bi4O18 for copper Kα, from a DFT-relaxed cell (GGA-PBE, the Materials Project).
Neutral-atom scattering factors, no anomalous dispersion.

Crystal structure
```
data_Ca2Ti5Bi4O18
_cell_length_a 5.4722
_cell_length_b 48.8759
_cell_length_c 5.5165
_cell_angle_alpha 90.00
_cell_angle_beta 90.00
_cell_angle_gamma 90.00
_space_group_name_H-M_alt 'A e a 2'
_space_group_IT_number 41
loop_
_space_group_symop_operation_xyz
'x,y,z'
'-x,-y,z'
'-x+1/2,y+1/2,z'
'x+1/2,-y+1/2,z'
'x,y+1/2,z+1/2'
'-x,-y+1/2,z+1/2'
'-x+1/2,y,z+1/2'
'x+1/2,-y,z+1/2'
loop_
_atom_site_label
_atom_site_fract_x
_atom_site_fract_y
_atom_site_fract_z
Ca1 0.0090 0.0397 0.0000
Ti1 0.0000 0.0000 0.4848
Ti2 0.0025 0.3329 0.9819
Ti3 0.0058 0.4223 0.9771
Bi1 0.0085 0.1249 0.0262
Bi2 0.0286 0.2761 0.4929
O1 0.0653 0.1175 0.4303
O2 0.0647 0.2972 0.9717
O3 0.0826 0.4609 0.9324
O4 0.1961 0.4162 0.6387
O5 0.2065 0.0714 0.7307
O6 0.2399 0.1632 0.2072
O7 0.2438 0.0070 0.7121
O8 0.2479 0.2493 0.2354
O9 0.2479 0.3451 0.2182
```

Most intense lines, 10 to 90 degrees two-theta, sorted by position:
(0 8 0), 6.109 Å, 2θ = 14.50°, I = 30; (1 3 1), 3.779 Å, 2θ = 23.54°, I = 31; (1 9 1), 3.160 Å, 2θ = 28.24°, I = 75; (1 11 1), 2.925 Å, 2θ = 30.57°, I = 100; (0 0 2), 2.758 Å, 2θ = 32.46°, I = 30; (2 0 0), 2.737 Å, 2θ = 32.72°, I = 30; (0 20 0), 2.444 Å, 2θ = 36.78°, I = 14; (2 0 2), 1.942 Å, 2θ = 46.77°, I = 32; (1 11 3), 1.623 Å, 2θ = 56.73°, I = 17; (3 11 1), 1.614 Å, 2θ = 57.08°, I = 17